Starting from a cell relaxed with PBE, the XRD peak list of CdInGaS4 was calculated for Cu Kα.

Crystal structure
Cell: 3.914 3.914 25.362 Å, 90.00 90.00 120.00°
Fractional coordinates of all 14 atoms:
1 Cd 0.000 0.000 0.246
2 Cd 0.000 0.000 0.754
3 In 0.333 0.667 0.603
4 In 0.667 0.333 0.397
5 Ga 0.333 0.667 0.102
6 Ga 0.667 0.333 0.898
7 S 0.333 0.667 0.190
8 S 0.333 0.667 0.443
9 S 0.333 0.667 0.697
10 S 0.333 0.667 0.934
11 S 0.667 0.333 0.066
12 S 0.667 0.333 0.303
13 S 0.667 0.333 0.557
14 S 0.667 0.333 0.810

Principal peaks in the range 2θ from 15° to 90°, in order of rising 2θ:
Position (°2θ), I_rel, hkl
21.0, 51, 0 0 6
27.2, 100, 1 0 2
29.9, 65, 1 0 4
33.9, 15, 0 1 6
38.9, 41, 1 0 8
44.6, 27, 1 0 10
46.4, 49, 1 1 0
50.9, 32, 0 1 12
51.5, 27, 1 1 6
54.6, 14, 0 2 2